Structure and computed X-ray powder pattern of LiAg2Pt (DFT lattice parameters and positions (PBE); Cu Kα (λ = 1.5418 Å)).

Largest 10 diffraction maxima, most intense first, 2θ = 15–90°:
Position (°2θ), d [Å], intensity
39.5, 2.279, 100.0
39.2, 2.298, 86.5
16.6, 5.348, 73.4
26.4, 3.377, 64.3
39.8, 2.266, 49.4
41.5, 2.178, 43.9
42.1, 2.145, 37.4
40.5, 2.230, 26.8
60.6, 1.528, 25.0
69.5, 1.353, 19.0

Atomic structure:
```
LiAg2Pt
1.0
2.7696 0.0000 0.0000
0.0000 4.3552 0.0000
-1.1701 0.0000 5.3479
Li Ag Pt
1 2 1
direct
0.0000 0.0000 0.0000
0.4092 0.5000 0.2415
0.5908 0.5000 0.7585
0.0000 0.0000 0.5000
```